# Na2V6O15
Theoretical powder X-ray diffraction pattern, Cu Ka. Input: a cell relaxed with PBE+U.
Neutral-atom scattering factors, no anomalous dispersion.

Lattice parameters (Å, degrees): 15.8073 3.6667 10.5556 90.00 100.48 90.00
Space group Cm (No. 8)
Symmetry-distinct sites (fractional):
Na 0.0000 0.0000 0.0000 [2 per cell]
Na 0.0618 0.0000 0.7010 [2 per cell]
V 0.1570 0.5000 0.4728 [2 per cell]
V 0.2073 0.0000 0.2505 [2 per cell]
V 0.2399 0.0000 0.9402 [2 per cell]
V 0.3159 0.5000 0.7549 [2 per cell]
V 0.3594 0.5000 0.4412 [2 per cell]
V 0.4436 0.0000 0.2598 [2 per cell]
O 0.0425 0.5000 0.3570 [2 per cell]
O 0.1100 0.0000 0.1693 [2 per cell]
O 0.1261 0.5000 0.6155 [2 per cell]
O 0.1335 0.0000 0.9092 [2 per cell]
O 0.1698 0.0000 0.4304 [2 per cell]
O 0.2278 0.5000 0.3035 [2 per cell]
O 0.2668 0.0000 0.1183 [2 per cell]
O 0.2748 0.5000 0.9257 [2 per cell]
O 0.2756 0.0000 0.7700 [2 per cell]
O 0.2872 0.5000 0.5591 [2 per cell]
O 0.3486 0.0000 0.3840 [2 per cell]
O 0.4099 0.5000 0.2764 [2 per cell]
O 0.4227 0.5000 0.7929 [2 per cell]
O 0.4513 0.5000 0.5388 [2 per cell]
O 0.4553 0.0000 0.1064 [2 per cell]

Largest 6 diffraction maxima, in order of falling intensity, 2θ from 5° to 70°:
two_theta	d [Å]	I/Imax
26.06	3.419	100.0
25.90	3.439	77.4
8.52	10.379	75.0
11.39	7.772	71.3
31.33	2.855	40.8
49.73	1.833	35.2